Structure and theoretical powder XRD pattern of Fe4O3F5 (DFT lattice parameters and positions (PBE+U); Cu Kα (weighted mean of Kα1 and Kα2)).

The 10 most intense peaks (2θ from 10° to 90°), sorted by position:
| 2θ/deg | d_spacing | Rel. int. |
| --- | --- | --- |
| 25.39 | 3.508 | 97 |
| 27.33 | 3.263 | 89 |
| 34.51 | 2.599 | 100 |
| 38.79 | 2.322 | 18 |
| 40.15 | 2.246 | 16 |
| 50.89 | 1.794 | 65 |
| 52.15 | 1.754 | 21 |
| 53.08 | 1.725 | 49 |
| 59.72 | 1.548 | 17 |
| 65.95 | 1.416 | 50 |

Crystal structure
abc: 6.194 4.790 4.790
angles: 94.14 90.00 90.00
Fractional coordinates of all 12 atoms:
Fe1 0.000 0.000 0.000
Fe2 0.238 0.501 0.501
Fe3 0.500 0.964 0.964
Fe4 0.762 0.501 0.501
O1 0.000 0.296 0.296
O2 0.000 0.699 0.699
O3 0.500 0.663 0.663
F1 0.240 0.192 0.791
F2 0.240 0.791 0.192
F3 0.500 0.279 0.279
F4 0.760 0.192 0.791
F5 0.760 0.791 0.192